The following is a theoretical PXRD pattern of Cu4SiP8. It was derived from a cell relaxed with PBE, using Cu Kα, 1.54184 Å.
Kinematic intensities with the Lorentz-polarization factor, no thermal factor.

Most intense lines, 15° ≤ 2θ ≤ 90°, in order of rising 2θ:
4.307 Å, 2θ 20.62, rel. 24
2.911 Å, 2θ 30.72, rel. 100
2.594 Å, 2θ 34.58, rel. 20
2.242 Å, 2θ 40.22, rel. 13
1.835 Å, 2θ 49.68, rel. 32
1.805 Å, 2θ 50.58, rel. 16
1.730 Å, 2θ 52.92, rel. 15
1.689 Å, 2θ 54.32, rel. 16
1.664 Å, 2θ 55.20, rel. 11
1.461 Å, 2θ 63.71, rel. 16

Crystal structure
Cell: 9.078 9.078 9.078 Å, 95.72 95.72 143.18°
Fractional coordinates of all 26 atoms:
1 Cu 0.240 0.202 0.060
2 Cu 0.298 0.858 0.038
3 Cu 0.320 0.260 0.462
4 Cu 0.358 0.820 0.560
5 Cu 0.642 0.180 0.440
6 Cu 0.680 0.740 0.538
7 Cu 0.702 0.142 0.962
8 Cu 0.760 0.798 0.940
9 Si 0.125 0.375 0.750
10 Si 0.875 0.625 0.250
11 P 0.004 0.958 0.222
12 P 0.050 0.419 0.175
13 P 0.081 0.757 0.631
14 P 0.236 0.783 0.278
15 P 0.257 0.125 0.675
16 P 0.283 0.504 0.547
17 P 0.375 0.550 0.131
18 P 0.458 0.736 0.953
19 P 0.542 0.264 0.047
20 P 0.625 0.450 0.869
21 P 0.717 0.496 0.453
22 P 0.743 0.875 0.325
23 P 0.764 0.217 0.722
24 P 0.919 0.243 0.369
25 P 0.950 0.581 0.825
26 P 0.996 0.042 0.778